Starting from a PBE+U-relaxed structure, the powder X-ray diffraction pattern of CoHg2F8 was simulated for Cu Kα X-rays.
Kinematic intensities with the Lorentz-polarization factor, no thermal factor.

Structural model:
Cell: 9.4382 7.5096 4.6203 Å, 90.00 110.63 90.00°
Space group C2/m (No. 12)
Symmetry-distinct sites (fractional):
Co (0.0000, 0.0000, 0.0000) x2
Hg (0.1642, 0.5000, 0.3597) x4
F (0.0915, 0.5000, 0.8094) x4
F (0.1149, 0.0000, 0.7655) x4
F (0.1256, 0.1687, 0.2477) x8

Main lines, in order of rising 2θ (15 to 90 degrees two-theta):
(hkl), 2θ/deg, Rel. int.
1 1 0, 15.49, 27
2 0 -1, 23.17, 92
0 2 0, 23.70, 100
1 1 1, 28.57, 91
3 1 0, 32.67, 62
2 2 -1, 33.38, 40
1 1 -2, 41.13, 37
1 3 1, 44.80, 38
4 0 -2, 47.36, 18
3 3 0, 47.70, 35
5 1 -1, 49.90, 23
1 3 -2, 54.22, 20